1.
Simulated powder X-ray diffraction pattern
Compound: PrNd5Ho12
Radiation: Cu Kα
Structure: a DFT-relaxed cell (GGA-PBE, Alexandria)
Intensities are scaled so that the largest is 100.

Main lines, in order of rising 2θ (15° ≤ 2θ ≤ 90°):
Position (°2θ)	intensity
30.02	24
30.95	30
31.92	100
34.81	16
43.65	17
54.51	11
55.66	21
57.51	10
58.04	9
66.72	9

Cell and atoms:
```
data_PrNd5Ho12
_space_group_name_H-M_alt 'C 1 2/m 1'
_space_group_IT_number 12
_cell_length_a 11.415
_cell_length_b 17.338
_cell_length_c 5.954
_cell_angle_alpha 90.00
_cell_angle_beta 90.02
_cell_angle_gamma 90.00
loop_
_space_group_symop_operation_xyz
'x,y,z'
'-x,-y,-z'
'-x,y,-z'
'x,-y,z'
'x+1/2,y+1/2,z'
'-x+1/2,-y+1/2,-z'
'-x+1/2,y+1/2,-z'
'x+1/2,-y+1/2,z'
loop_
_atom_site_label
_atom_site_fract_x
_atom_site_fract_y
_atom_site_fract_z
Pr1 0.000 0.000 0.000
Nd1 0.000 0.167 0.500
Nd2 0.000 0.333 0.000
Nd3 0.000 0.500 0.500
Ho1 0.177 0.500 0.949
Ho2 0.178 0.000 0.551
Ho3 0.178 0.333 0.553
Ho4 0.179 0.167 0.947
```



2.
Simulated powder X-ray diffraction pattern
Compound: Pr2Nd2Ho5
Radiation: Cu Kα
Structure: a DFT-relaxed cell (GGA-PBE, Alexandria)
Intensities are scaled so that the largest is 100.

Main lines, in order of rising 2θ (15° ≤ 2θ ≤ 90°):
Position (°2θ)	intensity
28.15	76
29.90	100
30.36	71
30.63	64
32.67	66
32.80	53
35.39	58
37.45	41
39.29	29
58.20	25

Cell and atoms:
```
data_Pr2Nd2Ho5
_space_group_name_H-M_alt 'I m a 2'
_space_group_IT_number 46
_cell_length_a 15.048
_cell_length_b 11.952
_cell_length_c 6.765
_cell_angle_alpha 90.00
_cell_angle_beta 90.00
_cell_angle_gamma 90.00
loop_
_space_group_symop_operation_xyz
'x,y,z'
'-x,-y,z'
'-x+1/2,y,z'
'x+1/2,-y,z'
'x+1/2,y+1/2,z+1/2'
'-x+1/2,-y+1/2,z+1/2'
'-x,y+1/2,z+1/2'
'x,-y+1/2,z+1/2'
loop_
_atom_site_label
_atom_site_fract_x
_atom_site_fract_y
_atom_site_fract_z
Pr1 0.000 0.000 0.000
Pr2 0.250 0.009 0.094
Nd1 0.126 0.503 0.047
Ho1 0.053 0.742 0.694
Ho2 0.142 0.234 0.884
Ho3 0.250 0.744 0.897
```



3.
Simulated powder X-ray diffraction pattern
Compound: PrNd3Ho2
Radiation: Cu Kα
Structure: a DFT-relaxed cell (GGA-PBE, Alexandria)
Intensities are scaled so that the largest is 100.

Main lines, in order of rising 2θ (15° ≤ 2θ ≤ 90°):
Position (°2θ)	intensity
27.06	100
29.48	87
29.67	93
30.87	30
34.20	73
35.14	32
40.62	38
45.90	67
57.71	25
66.23	35

Cell and atoms:
```
data_PrNd3Ho2
_space_group_name_H-M_alt 'I m m m'
_space_group_IT_number 71
_space_group_name_Hall '-I 2 2'
_cell_length_a 3.507
_cell_length_b 6.021
_cell_length_c 19.741
_cell_angle_alpha 90.00
_cell_angle_beta 90.00
_cell_angle_gamma 90.00
loop_
_atom_site_label
_atom_site_fract_x
_atom_site_fract_y
_atom_site_fract_z
Pr1 0.000 0.000 0.000
Nd1 0.000 0.000 0.191
Nd2 0.000 0.500 0.000
Ho1 0.000 0.000 0.362
```



4.
Simulated powder X-ray diffraction pattern
Compound: PrNd4Ho8
Radiation: Cu Kα
Structure: a DFT-relaxed cell (GGA-PBE, Alexandria)
Intensities are scaled so that the largest is 100.

Main lines, in order of rising 2θ (15° ≤ 2θ ≤ 90°):
Position (°2θ)	intensity
19.65	11
22.73	10
25.45	5
32.36	100
38.14	6
46.41	18
57.71	37
67.73	11
77.07	15
86.08	4

Cell and atoms:
```
data_PrNd4Ho8
_space_group_name_H-M_alt 'P m -3 m'
_space_group_IT_number 221
_space_group_name_Hall '-P 4 2 3'
_cell_length_a 7.826
_cell_length_b 7.826
_cell_length_c 7.826
_cell_angle_alpha 90.00
_cell_angle_beta 90.00
_cell_angle_gamma 90.00
loop_
_atom_site_label
_atom_site_fract_x
_atom_site_fract_y
_atom_site_fract_z
Pr1 0.000 0.000 0.000
Nd1 0.000 0.000 0.500
Nd2 0.500 0.500 0.500
Ho1 0.261 0.261 0.261
```



5.
Simulated powder X-ray diffraction pattern
Compound: Pr6NdHo
Radiation: Cu Kα
Structure: a DFT-relaxed cell (GGA-PBE, Alexandria)
Intensities are scaled so that the largest is 100.

Main lines, in order of rising 2θ (15° ≤ 2θ ≤ 90°):
Position (°2θ)	intensity
29.66	100
34.32	34
34.52	17
49.46	30
58.56	15
58.67	14
58.88	14
61.52	6
61.66	6
80.23	9

Cell and atoms:
```
data_Pr6NdHo
_space_group_name_H-M_alt 'F m m m'
_space_group_IT_number 69
_space_group_name_Hall '-F 2 2'
_cell_length_a 7.403
_cell_length_b 10.394
_cell_length_c 14.757
_cell_angle_alpha 90.00
_cell_angle_beta 90.00
_cell_angle_gamma 90.00
loop_
_atom_site_label
_atom_site_fract_x
_atom_site_fract_y
_atom_site_fract_z
Pr1 0.000 0.000 0.249
Pr2 0.250 0.250 0.123
Nd1 0.000 0.000 0.500
Ho1 0.000 0.000 0.000
```



6.
Simulated powder X-ray diffraction pattern
Compound: Pr3Nd5Ho3
Radiation: Cu Kα
Structure: a DFT-relaxed cell (GGA-PBE, Alexandria)
Intensities are scaled so that the largest is 100.

Main lines, in order of rising 2θ (15° ≤ 2θ ≤ 90°):
Position (°2θ)	intensity
23.74	38
25.65	31
26.98	81
30.10	88
31.25	38
32.56	100
35.23	73
40.85	85
47.80	45
62.21	43

Cell and atoms:
```
data_Pr3Nd5Ho3
_space_group_name_H-M_alt 'P -6 2 m'
_space_group_IT_number 189
_space_group_name_Hall 'P -6 -2'
_cell_length_a 11.4497
_cell_length_b 11.4497
_cell_length_c 3.4728
_cell_angle_alpha 90.00
_cell_angle_beta 90.00
_cell_angle_gamma 120.00
loop_
_atom_site_label
_atom_site_fract_x
_atom_site_fract_y
_atom_site_fract_z
Pr1 0.0000 0.5976 0.0000
Nd1 0.0000 0.3364 0.5000
Nd2 0.3333 0.6667 0.5000
Ho1 0.0000 0.8416 0.5000
```



Please write out number 2 again, unchanged.
Simulated powder X-ray diffraction pattern
Compound: Pr2Nd2Ho5
Radiation: Cu Kα
Structure: a DFT-relaxed cell (GGA-PBE, Alexandria)
Intensities are scaled so that the largest is 100.

Main lines, in order of rising 2θ (15° ≤ 2θ ≤ 90°):
Position (°2θ)	intensity
28.15	76
29.90	100
30.36	71
30.63	64
32.67	66
32.80	53
35.39	58
37.45	41
39.29	29
58.20	25

Cell and atoms:
```
data_Pr2Nd2Ho5
_space_group_name_H-M_alt 'I m a 2'
_space_group_IT_number 46
_cell_length_a 15.048
_cell_length_b 11.952
_cell_length_c 6.765
_cell_angle_alpha 90.00
_cell_angle_beta 90.00
_cell_angle_gamma 90.00
loop_
_space_group_symop_operation_xyz
'x,y,z'
'-x,-y,z'
'-x+1/2,y,z'
'x+1/2,-y,z'
'x+1/2,y+1/2,z+1/2'
'-x+1/2,-y+1/2,z+1/2'
'-x,y+1/2,z+1/2'
'x,-y+1/2,z+1/2'
loop_
_atom_site_label
_atom_site_fract_x
_atom_site_fract_y
_atom_site_fract_z
Pr1 0.000 0.000 0.000
Pr2 0.250 0.009 0.094
Nd1 0.126 0.503 0.047
Ho1 0.053 0.742 0.694
Ho2 0.142 0.234 0.884
Ho3 0.250 0.744 0.897
```